Computed X-ray diffraction stick pattern of Li2TlCoN for a wavelength of 1.5418 Å, from DFT lattice parameters and positions (PBE).

Structure:
```
data_Li2TlCoN
_symmetry_space_group_name_H-M 'P 4/m m m'
_symmetry_Int_Tables_number 123
_symmetry_space_group_name_Hall '-P 4 2'
_cell_length_a 4.361
_cell_length_b 4.361
_cell_length_c 3.522
_cell_angle_alpha 90.00
_cell_angle_beta 90.00
_cell_angle_gamma 90.00
loop_
_atom_site_label
_atom_site_fract_x
_atom_site_fract_y
_atom_site_fract_z
_atom_site_occupancy
Li1 0.000 0.500 0.000 1
Tl1 0.000 0.000 0.500 1
Co1 0.500 0.500 0.500 1
N1 0.500 0.500 0.000 1
```

Most intense lines, 10° ≤ 2θ ≤ 90°, by angle:
2θ = 20.36°, 4.361 Å, I 46.9
2θ = 25.29°, 3.522 Å, I 55.4
2θ = 28.95°, 3.084 Å, I 100.0
2θ = 32.68°, 2.740 Å, I 46.7
2θ = 38.81°, 2.320 Å, I 86.9
2θ = 41.41°, 2.181 Å, I 43.8
2θ = 49.14°, 1.854 Å, I 37.9
2θ = 53.72°, 1.706 Å, I 23.6
2θ = 60.55°, 1.529 Å, I 24.0
2θ = 73.79°, 1.284 Å, I 26.8